No. 1
# CsLaPb
Theoretical powder diffraction line list, CuKα. Input: DFT lattice parameters and positions (PBE).
Kinematic intensities with the Lorentz-polarization factor, no thermal factor.

Top 6 peaks for 5 to 70 degrees two-theta, by angle:
two_theta  I/Imax  index
6.88  100  0 0 1
18.91  13  1 1 0
24.82  38  1 1 2
29.90  26  2 0 -4
32.81  44  0 2 0
33.57  17  3 1 -2

Structural model:
a = 9.4524 Å, b = 5.4598 Å, c = 13.2402 Å
α = 90.00°, β = 103.87°, γ = 90.00°
Space group C2/m (No. 12)
Inequivalent atoms, fractional coordinates:
1 Cs 0.2255 0.0000 0.1783
2 La 0.1469 0.5000 0.4399
3 Pb 0.0422 0.0000 0.6265

---

No. 2
# LiZn3Cu
Theoretical powder diffraction line list, CuKα. Input: DFT lattice parameters and positions (PBE).
Kinematic intensities with the Lorentz-polarization factor, no thermal factor.

Top 6 peaks for 5 to 70 degrees two-theta, by angle:
two_theta  I/Imax  index
41.76  100  1 1 -2
41.96  99  0 2 1
42.08  98  1 1 3
42.18  98  2 0 0
43.30  90  1 -1 2
43.94  87  -1 1 3

Structural model:
a = 4.2978 Å, b = 4.3202 Å, c = 7.6396 Å
α = 74.43°, β = 88.50°, γ = 85.52°
Space group P-1 (No. 2)
Inequivalent atoms, fractional coordinates:
1 Li 0.2505 0.1535 0.1915
2 Zn 0.2498 0.5526 0.3930
3 Zn 0.2495 0.7488 0.0000
4 Zn 0.2505 0.9442 0.6073
5 Cu 0.2510 0.3471 0.8032

---

No. 3
# La7CoI12
Theoretical powder diffraction line list, CuKα. Input: DFT lattice parameters and positions (PBE).
Kinematic intensities with the Lorentz-polarization factor, no thermal factor.

Top 6 peaks for 5 to 70 degrees two-theta, by angle:
two_theta  I/Imax  index
10.85  18  1 1 0
24.07  15  1 3 1
27.79  100  4 -1 2
39.53  36  1 3 4
39.87  35  5 2 0
49.29  18  2 6 2

Structural model:
a = 16.3065 Å, b = 16.3065 Å, c = 11.2123 Å
α = 90.00°, β = 90.00°, γ = 120.00°
Space group R3 (No. 146, hexagonal axes)
Inequivalent atoms, fractional coordinates:
1 La 0.0000 0.0000 0.9998
2 La 0.0416 0.8830 0.3777
3 La 0.1561 0.0410 0.6667
4 Co 0.0000 0.0000 0.5187
5 I 0.0208 0.4339 0.1796
6 I 0.0510 0.8622 0.8570
7 I 0.1025 0.7486 0.1948
8 I 0.1750 0.0470 0.1774

---

No. 4
# NbPt2O2
Theoretical powder diffraction line list, CuKα. Input: DFT lattice parameters and positions (PBE).
Kinematic intensities with the Lorentz-polarization factor, no thermal factor.

Top 6 peaks for 5 to 70 degrees two-theta, by angle:
two_theta  I/Imax  index
19.43  71  0 0 1
36.74  72  2 1 0
38.36  100  2 0 1
39.45  51  0 0 2
41.89  71  2 1 1
55.00  45  2 1 2

Structural model:
a = 5.4694 Å, b = 5.4694 Å, c = 4.5688 Å
α = 90.00°, β = 90.00°, γ = 90.00°
Space group P4/mbm (No. 127)
Inequivalent atoms, fractional coordinates:
1 Nb 0.0000 0.0000 0.0000
2 Pt 0.1867 0.3133 0.5000
3 O 0.1799 0.3201 0.0000

---

No. 5
# Hf5Be2As
Theoretical powder diffraction line list, CuKα. Input: DFT lattice parameters and positions (PBE).
Kinematic intensities with the Lorentz-polarization factor, no thermal factor.

Top 6 peaks for 5 to 70 degrees two-theta, by angle:
two_theta  I/Imax  index
30.43  63  2 1 1
34.54  39  1 1 4
36.86  100  2 1 3
39.49  43  2 0 4
42.27  52  3 1 0
60.73  43  2 1 7

Structural model:
a = 6.7619 Å, b = 6.7619 Å, c = 12.3729 Å
α = 90.00°, β = 90.00°, γ = 90.00°
Space group I4/mcm (No. 140)
Inequivalent atoms, fractional coordinates:
1 Hf 0.0000 0.0000 0.0000
2 Hf 0.1620 0.3380 0.1475
3 Be 0.1188 0.3812 0.5000
4 As 0.0000 0.0000 0.2500

---

No. 6
# Ac6Tl5Sb
Theoretical powder diffraction line list, CuKα. Input: DFT lattice parameters and positions (PBE).
Kinematic intensities with the Lorentz-polarization factor, no thermal factor.

Top 6 peaks for 5 to 70 degrees two-theta, by angle:
two_theta  I/Imax  index
30.30  100  1 3 2
31.30  22  0 6 0
31.66  23  2 0 0
45.12  17  2 6 0
55.08  18  1 9 2
55.55  19  3 3 2

Structural model:
a = 5.6519 Å, b = 17.1494 Å, c = 8.6834 Å
α = 90.00°, β = 90.12°, γ = 90.00°
Space group C2/m (No. 12)
Inequivalent atoms, fractional coordinates:
1 Ac 0.0010 0.0000 0.2576
2 Ac 0.0005 0.3376 0.2490
3 Tl 0.0000 0.1658 0.0000
4 Tl 0.0000 0.1773 0.5000
5 Tl 0.0000 0.5000 0.0000
6 Sb 0.0000 0.5000 0.5000

---

No. 7
# LiBiPd2O4
Theoretical powder diffraction line list, CuKα. Input: DFT lattice parameters and positions (PBE).
Kinematic intensities with the Lorentz-polarization factor, no thermal factor.

Top 6 peaks for 5 to 70 degrees two-theta, by angle:
two_theta  I/Imax  index
17.89  41  1 1 0
27.02  36  1 1 1
32.59  100  2 0 1
36.24  27  2 2 0
55.69  30  2 2 2
62.90  30  4 2 1

Structural model:
a = 7.0105 Å, b = 7.0105 Å, c = 4.4235 Å
α = 90.00°, β = 90.00°, γ = 90.00°
Space group P4/nmm (No. 129, origin choice 2)
Inequivalent atoms, fractional coordinates:
1 Li 0.2500 0.7500 0.0000
2 Bi 0.2500 0.2500 0.0089
3 Pd 0.0000 0.0000 0.5000
4 O 0.0237 0.7500 0.2638

---

No. 8
# Rb3Te4P
Theoretical powder diffraction line list, CuKα. Input: DFT lattice parameters and positions (PBE).
Kinematic intensities with the Lorentz-polarization factor, no thermal factor.

Top 6 peaks for 5 to 70 degrees two-theta, by angle:
two_theta  I/Imax  index
25.14  62  0 1 3
25.56  41  1 0 3
27.23  47  3 0 1
28.07  100  2 3 0
33.27  42  2 2 3
42.32  30  3 3 3

Structural model:
a = 10.2834 Å, b = 12.1331 Å, c = 11.1113 Å
α = 90.00°, β = 90.00°, γ = 90.00°
Space group Pnma (No. 62)
Inequivalent atoms, fractional coordinates:
1 Rb 0.0632 0.0442 0.1890
2 Rb 0.1594 0.7500 0.4158
3 Te 0.0353 0.7500 0.0918
4 Te 0.1330 0.0760 0.5227
5 Te 0.1851 0.7500 0.7557
6 P 0.2415 0.7500 0.9722

---

No. 9
# PtW2
Theoretical powder diffraction line list, CuKα. Input: DFT lattice parameters and positions (PBE).
Kinematic intensities with the Lorentz-polarization factor, no thermal factor.

Top 6 peaks for 5 to 70 degrees two-theta, by angle:
two_theta  I/Imax  index
39.16  100  1 3 1
43.84  18  2 0 0
45.40  16  0 6 0
47.31  15  0 0 2
64.95  11  2 6 0
66.46  11  2 0 2

Structural model:
a = 4.1299 Å, b = 11.9872 Å, c = 3.8432 Å
α = 90.00°, β = 90.00°, γ = 90.00°
Space group Cmcm (No. 63)
Inequivalent atoms, fractional coordinates:
1 Pt 0.0000 0.0822 0.2500
2 W 0.0000 0.2542 0.7500
3 W 0.0000 0.4192 0.2500

---

No. 10
# K2RbCeBr6
Theoretical powder diffraction line list, CuKα. Input: DFT lattice parameters and positions (PBE).
Kinematic intensities with the Lorentz-polarization factor, no thermal factor.

Top 6 peaks for 5 to 70 degrees two-theta, by angle:
two_theta  I/Imax  index
15.08  100  1 1 -1
24.45  41  2 1 -2
25.21  40  1 0 2
30.43  66  2 2 -2
33.99  69  2 2 0
38.23  65  3 1 -1

Structural model:
a = 8.0336 Å, b = 8.6273 Å, c = 14.1492 Å
α = 90.00°, β = 123.97°, γ = 90.00°
Space group P2_1/c (No. 14)
Inequivalent atoms, fractional coordinates:
1 K 0.2118 0.0808 0.2444
2 Rb 0.0000 0.0000 0.5000
3 Ce 0.5000 0.0000 0.0000
4 Br 0.1404 0.1746 0.9331
5 Br 0.2534 0.7177 0.9144
6 Br 0.4201 0.0683 0.7745

---

No. 11
# Ac3In3Cu2
Theoretical powder diffraction line list, CuKα. Input: DFT lattice parameters and positions (PBE).
Kinematic intensities with the Lorentz-polarization factor, no thermal factor.

Top 6 peaks for 5 to 70 degrees two-theta, by angle:
two_theta  I/Imax  index
29.40  100  1 1 4
30.33  60  1 3 1
31.42  26  0 4 0
36.89  40  2 0 0
37.07  33  1 3 4
49.16  41  2 4 0

Structural model:
a = 4.8729 Å, b = 11.3896 Å, c = 16.5339 Å
α = 90.00°, β = 90.00°, γ = 90.00°
Space group Cmcm (No. 63)
Inequivalent atoms, fractional coordinates:
1 Ac 0.0000 0.0933 0.1080
2 Ac 0.0000 0.3774 0.2500
3 In 0.0000 0.3253 0.7500
4 In 0.0000 0.3752 0.0383
5 Cu 0.0000 0.2028 0.6004

---

No. 12
# Ba2LiCdH6
Theoretical powder diffraction line list, CuKα. Input: DFT lattice parameters and positions (PBE).
Kinematic intensities with the Lorentz-polarization factor, no thermal factor.

Top 6 peaks for 5 to 70 degrees two-theta, by angle:
two_theta  I/Imax  index
18.57  37  1 1 -1
21.48  32  0 2 0
30.52  100  2 0 0
30.59  99  2 2 -1
54.20  26  2 2 1
54.37  51  2 4 0

Structural model:
a = 8.2741 Å, b = 8.2623 Å, c = 5.8421 Å
α = 90.00°, β = 134.81°, γ = 90.00°
Space group C2/m (No. 12)
Inequivalent atoms, fractional coordinates:
1 Ba 0.0000 0.2490 0.0000
2 Li 0.0000 0.0000 0.5000
3 Cd 0.0000 0.5000 0.5000
4 H 0.0000 0.2437 0.5000
5 H 0.2416 0.0000 0.4953
6 H 0.2421 0.0000 0.9881